1.
LaSmHo2Er: theoretical powder XRD pattern (Cu Kα), based on a crystal structure in Alexandria, relaxed with PBE.
Intensities are scaled so that the largest is 100.

Structural model:
```
data_LaSmHo2Er
_chemical_formula_sum 'La1 Sm1 Ho2 Er1'
_cell_length_a 3.6153
_cell_length_b 5.5927
_cell_length_c 8.6062
_cell_angle_alpha 90.00
_cell_angle_beta 90.00
_cell_angle_gamma 90.00
_symmetry_space_group_name_H-M 'P m m m'
_symmetry_Int_Tables_number 47
loop_
_symmetry_equiv_pos_as_xyz
'x,y,z'
'-x,-y,-z'
'-x,-y,z'
'x,y,-z'
'x,-y,-z'
'-x,y,z'
'-x,y,-z'
'x,-y,z'
loop_
_atom_site_label
_atom_site_type_symbol
_atom_site_fract_x
_atom_site_fract_y
_atom_site_fract_z
_atom_site_occupancy
La1 La 0.0000 0.0000 0.0000 1
Sm1 Sm 0.5000 0.0000 0.5000 1
Ho1 Ho 0.0000 0.5000 0.3181 1
Er1 Er 0.5000 0.5000 0.0000 1
```

Most intense lines, 2θ = 10–90°, low angle first:
d = 3.410 Å, I = 22.3
d = 2.864 Å, I = 100.0
d = 2.796 Å, I = 35.5
d = 2.553 Å, I = 22.0
d = 2.481 Å, I = 22.6
d = 1.497 Å, I = 18.8

2.
AcH2F: theoretical powder XRD pattern (Cu Kα), based on a crystal structure in Alexandria, relaxed with PBE.
Intensities are scaled so that the largest is 100.

Structural model:
```
data_AcH2F
_chemical_formula_sum 'Ac2 H4 F2'
_cell_length_a 4.2874
_cell_length_b 4.2874
_cell_length_c 7.4753
_cell_angle_alpha 90.00
_cell_angle_beta 90.00
_cell_angle_gamma 120.00
_symmetry_space_group_name_H-M 'P 63/m m c'
_symmetry_Int_Tables_number 194
_symmetry_space_group_name_Hall '-P 6c 2c'
loop_
_atom_site_label
_atom_site_type_symbol
_atom_site_fract_x
_atom_site_fract_y
_atom_site_fract_z
_atom_site_occupancy
Ac1 Ac 0.3333 0.6667 0.2500 1
H1 H 0.3333 0.6667 0.5900 1
F1 F 0.0000 0.0000 0.2500 1
```

Most intense lines, 2θ = 10–90°, low angle first:
d = 3.738 Å, I = 35.8
d = 3.325 Å, I = 100.0
d = 2.144 Å, I = 25.0
d = 2.069 Å, I = 28.7
d = 1.859 Å, I = 34.0
d = 1.802 Å, I = 18.3